Structure and simulated PXRD pattern of Hf3Sc5 (a DFT-relaxed cell (PBE, Alexandria); Cu Kα X-rays).

Peak list (6 most intense, 2θ from 10° to 90°, low angle first)
d/Å  I (rel.)  hkl
2.814  26  1 0 2
2.553  36  0 2 0
2.484  51  0 1 4
2.465  100  1 1 2
2.218  20  1 1 3
1.377  19  1 2 6

Cell and atoms:
```
data_Hf3Sc5
_cell_length_a 3.2386
_cell_length_b 5.1070
_cell_length_c 11.3707
_cell_angle_alpha 90.00
_cell_angle_beta 90.00
_cell_angle_gamma 90.00
_symmetry_space_group_name_H-M 'P m m 2'
_symmetry_Int_Tables_number 25
loop_
_symmetry_equiv_pos_as_xyz
'x,y,z'
'-x,-y,z'
'-x,y,z'
'x,-y,z'
loop_
_atom_site_label
_atom_site_type_symbol
_atom_site_fract_x
_atom_site_fract_y
_atom_site_fract_z
Hf1 Hf 0.0000 0.0000 0.0000
Hf2 Hf 0.0000 0.5000 0.1599
Hf3 Hf 0.5000 0.0000 0.2360
Sc1 Sc 0.0000 0.0000 0.4897
Sc2 Sc 0.0000 0.5000 0.6572
Sc3 Sc 0.5000 0.0000 0.7502
Sc4 Sc 0.5000 0.5000 0.3992
Sc5 Sc 0.5000 0.5000 0.9136
```